# VNiP
Computed powder XRD pattern, CuKα. Input: a structure optimized by DFT (PBE).
Peak positions follow from Bragg's law for the DFT cell and can differ from measured ones.

Top 6 peaks for 15 to 90 degrees two-theta, by angle:
40.00 deg, intensity 100; 40.23 deg, intensity 44; 42.43 deg, intensity 67; 47.64 deg, intensity 32; 48.57 deg, intensity 46; 52.41 deg, intensity 39

```
VNiP
1.0
5.8478 0.0000 0.0000
0.0000 3.4916 0.0000
0.0000 0.0000 6.8381
V Ni P
4 4 4
Direct
0.0255 0.2500 0.1632
0.4745 0.7500 0.6632
0.5255 0.2500 0.3368
0.9745 0.7500 0.8368
0.1459 0.2500 0.5666
0.3541 0.7500 0.0666
0.6459 0.2500 0.9334
0.8541 0.7500 0.4334
0.2326 0.7500 0.3732
0.2674 0.2500 0.8732
0.7326 0.7500 0.1268
0.7674 0.2500 0.6268
```

# Rb2MgCu4H5S4O20
Computed powder XRD pattern, CuKα. Input: a structure optimized by DFT (PBE).
Peak positions follow from Bragg's law for the DFT cell and can differ from measured ones.

Top 6 peaks for 15 to 90 degrees two-theta, by angle:
17.83 deg, intensity 40; 22.64 deg, intensity 51; 25.78 deg, intensity 44; 25.92 deg, intensity 44; 29.65 deg, intensity 83; 31.57 deg, intensity 100

```
Rb2MgCu4H5S4O20
1.0
6.1820 0.0000 0.0000
-0.0501 8.3681 0.0000
-0.0074 -3.1146 8.4861
Rb Mg Cu H S O
2 1 4 5 4 20
Direct
0.0000 0.0000 0.0000
0.4867 0.5803 0.5455
0.4988 0.1633 0.4709
0.2512 0.2939 0.8070
0.2554 0.7587 0.2624
0.7457 0.2956 0.8085
0.7494 0.7556 0.2642
0.0010 0.5248 0.8394
0.0015 0.5255 0.0677
0.0023 0.5028 0.2425
0.4991 0.0480 0.7157
0.5096 0.9558 0.2234
0.0021 0.8391 0.5913
0.4994 0.3175 0.1322
0.5045 0.7121 0.9417
0.9990 0.2512 0.4350
0.0003 0.4337 0.8844
0.0023 0.5901 0.1892
0.0043 0.3754 0.3541
0.0124 0.7263 0.6844
0.1991 0.2796 0.5418
0.2016 0.8115 0.4876
0.3023 0.2670 0.0295
0.3031 0.7491 0.0426
0.4974 0.2253 0.2482
0.4987 0.1576 0.6995
0.5004 0.5044 0.2182
0.5021 0.5288 0.8402
0.5059 0.9242 0.3185
0.5094 0.8257 0.8498
0.6968 0.2671 0.0312
0.7045 0.7470 0.0451
0.7985 0.2828 0.5402
0.8028 0.7935 0.4864
0.9928 0.0206 0.6916
0.9963 0.0732 0.3282
```

# Ga9Ir2
Computed powder XRD pattern, CuKα. Input: a structure optimized by DFT (PBE).
Peak positions follow from Bragg's law for the DFT cell and can differ from measured ones.

Top 6 peaks for 15 to 90 degrees two-theta, by angle:
37.82 deg, intensity 66; 42.43 deg, intensity 55; 44.07 deg, intensity 53; 44.31 deg, intensity 100; 44.73 deg, intensity 60; 45.39 deg, intensity 54

```
Ga9Ir2
1.0
6.5134 0.0000 0.0000
0.0000 6.4525 0.0000
-0.5018 0.0000 8.9094
Ga Ir
18 4
Direct
0.0000 0.0513 0.0000
0.0000 0.9487 0.5000
0.1993 0.2395 0.7348
0.1993 0.7605 0.2348
0.2118 0.4464 0.0077
0.2118 0.5536 0.5077
0.4003 0.1393 0.4637
0.4003 0.8607 0.9637
0.4917 0.4750 0.2885
0.4917 0.5250 0.7885
0.6301 0.2594 0.0358
0.6301 0.7406 0.5358
0.6924 0.0428 0.7400
0.6924 0.9572 0.2400
0.8145 0.3407 0.5457
0.8145 0.6593 0.0457
0.9971 0.2617 0.2735
0.9971 0.7383 0.7735
0.3372 0.1238 0.1749
0.3372 0.8762 0.6749
0.8589 0.3780 0.8389
0.8589 0.6220 0.3389
```

# Na3Cu2SbO6
Computed powder XRD pattern, CuKα. Input: a structure optimized by DFT (PBE).
Peak positions follow from Bragg's law for the DFT cell and can differ from measured ones.

Top 6 peaks for 15 to 90 degrees two-theta, by angle:
16.41 deg, intensity 100; 35.07 deg, intensity 38; 36.02 deg, intensity 53; 41.49 deg, intensity 72; 55.80 deg, intensity 25; 56.38 deg, intensity 26

```
Na3Cu2SbO6
1.0
2.9395 -4.4721 0.0000
2.9395 4.4721 0.0000
-2.5056 0.0000 5.4027
Na Cu Sb O
3 2 1 6
Direct
0.0000 0.0000 0.0000
0.3274 0.6726 0.0000
0.6726 0.3274 0.0000
0.1666 0.8334 0.5000
0.8334 0.1666 0.5000
0.5000 0.5000 0.5000
0.1391 0.4676 0.2735
0.2459 0.2459 0.6682
0.4676 0.1391 0.2735
0.5324 0.8609 0.7265
0.7541 0.7541 0.3318
0.8609 0.5324 0.7265
```

# PrErMg2
Computed powder XRD pattern, CuKα. Input: a structure optimized by DFT (PBE).
Peak positions follow from Bragg's law for the DFT cell and can differ from measured ones.

Top 6 peaks for 15 to 90 degrees two-theta, by angle:
23.18 deg, intensity 62; 33.01 deg, intensity 100; 40.72 deg, intensity 19; 47.38 deg, intensity 18; 53.39 deg, intensity 26; 58.96 deg, intensity 38

```
PrErMg2
1.0
0.0000 3.8375 3.8375
3.8375 0.0000 3.8375
3.8375 3.8375 0.0000
Pr Er Mg
1 1 2
Direct
0.0000 0.0000 0.0000
0.5000 0.5000 0.5000
0.2500 0.2500 0.2500
0.7500 0.7500 0.7500
```

# InBi2S4Cl
Computed powder XRD pattern, CuKα. Input: a structure optimized by DFT (PBE).
Peak positions follow from Bragg's law for the DFT cell and can differ from measured ones.

Top 6 peaks for 15 to 90 degrees two-theta, by angle:
21.43 deg, intensity 93; 27.98 deg, intensity 65; 31.14 deg, intensity 100; 33.73 deg, intensity 42; 39.47 deg, intensity 58; 46.06 deg, intensity 60

```
InBi2S4Cl
1.0
6.3014 -1.9714 0.0000
6.3014 1.9714 0.0000
-3.7111 0.0000 7.7717
In Bi S Cl
1 2 4 1
Direct
0.0000 0.0000 0.0000
0.2043 0.2043 0.7248
0.7957 0.7957 0.2752
0.1634 0.1634 0.3169
0.3746 0.3746 0.0541
0.6254 0.6254 0.9459
0.8366 0.8366 0.6831
0.5000 0.5000 0.5000
```

# MgSn2
Computed powder XRD pattern, CuKα. Input: a structure optimized by DFT (PBE).
Peak positions follow from Bragg's law for the DFT cell and can differ from measured ones.

Top 6 peaks for 15 to 90 degrees two-theta, by angle:
16.94 deg, intensity 40; 30.74 deg, intensity 49; 33.09 deg, intensity 46; 34.27 deg, intensity 57; 34.41 deg, intensity 100; 36.18 deg, intensity 85

```
MgSn2
1.0
6.3403 -1.6715 0.0000
6.3403 1.6715 0.0000
-1.3110 0.0000 7.3553
Mg Sn
2 4
Direct
0.0000 0.0000 0.0000
0.6801 0.6801 0.3614
0.2881 0.2881 0.0882
0.3384 0.3384 0.6737
0.6169 0.6169 0.7496
0.9658 0.9658 0.3906
```

# YHoO3
Computed powder XRD pattern, CuKα. Input: a structure optimized by DFT (PBE).
Peak positions follow from Bragg's law for the DFT cell and can differ from measured ones.

Top 6 peaks for 15 to 90 degrees two-theta, by angle:
27.96 deg, intensity 45; 28.65 deg, intensity 100; 31.17 deg, intensity 71; 35.00 deg, intensity 32; 49.12 deg, intensity 41; 57.47 deg, intensity 36

```
YHoO3
1.0
6.4251 0.0000 0.0000
-3.2125 5.5643 0.0000
0.0000 0.0000 12.7653
Y Ho O
6 6 18
Direct
0.0000 0.0000 0.0000
0.0000 0.0000 0.5000
0.3333 0.6667 0.4671
0.3333 0.6667 0.9671
0.6667 0.3333 0.4671
0.6667 0.3333 0.9671
0.0000 0.3331 0.2316
0.0000 0.6669 0.7316
0.3331 0.0000 0.2316
0.3331 0.3331 0.7316
0.6669 0.0000 0.7316
0.6669 0.6669 0.2316
0.0000 0.0000 0.1980
0.0000 0.0000 0.6980
0.0000 0.3067 0.4051
0.0000 0.3622 0.0597
0.0000 0.6378 0.5597
0.0000 0.6933 0.9051
0.3067 0.0000 0.4051
0.3067 0.3067 0.9051
0.3333 0.6667 0.2592
0.3333 0.6667 0.7592
0.3622 0.0000 0.0597
0.3622 0.3622 0.5597
0.6378 0.0000 0.5597
0.6378 0.6378 0.0597
0.6667 0.3333 0.2592
0.6667 0.3333 0.7592
0.6933 0.0000 0.9051
0.6933 0.6933 0.4051
```

# SrMg6Ga
Computed powder XRD pattern, CuKα. Input: a structure optimized by DFT (PBE).
Peak positions follow from Bragg's law for the DFT cell and can differ from measured ones.

Top 6 peaks for 15 to 90 degrees two-theta, by angle:
15.00 deg, intensity 47; 23.23 deg, intensity 22; 30.27 deg, intensity 27; 35.18 deg, intensity 100; 35.45 deg, intensity 85; 65.89 deg, intensity 24

```
SrMg6Ga
1.0
5.0687 0.0000 0.0000
0.0000 3.4218 5.8416
0.0000 -3.4218 5.8416
Sr Mg Ga
1 6 1
Direct
0.0000 0.0000 0.0000
0.0000 0.5101 0.5101
0.0000 0.5144 0.9913
0.0000 0.9913 0.5144
0.5000 0.3401 0.3401
0.5000 0.3739 0.8264
0.5000 0.8264 0.3739
0.5000 0.8295 0.8295
```